Diffraction record for Cs4K2Co2O5. The powder diffractogram is simulated, not measured: it uses a PBE+U-relaxed structure and Cu Kα (λ = 1.5418 Å).
Lines closer than 0.1° are merged.

Peak list (10 most intense, 2θ from 5° to 70°, low angle first)
2θ 19.7, rel. 44
2θ 28.1, rel. 36
2θ 29.5, rel. 86
2θ 29.8, rel. 100
2θ 30.0, rel. 57
2θ 32.5, rel. 34
2θ 35.8, rel. 23
2θ 36.9, rel. 44
2θ 41.6, rel. 27
2θ 48.3, rel. 24

Structural model:
Cell: 6.910 6.910 6.951 Å, 90.81 90.81 118.80°
Fractional positions:
1 Cs 0.244 0.756 0.000
2 Cs 0.322 0.322 0.695
3 Cs 0.678 0.678 0.305
4 Cs 0.756 0.244 0.000
5 K 0.226 0.774 0.500
6 K 0.774 0.226 0.500
7 Co 0.195 0.195 0.209
8 Co 0.805 0.805 0.791
9 O 0.000 0.000 0.000
10 O 0.141 0.415 0.295
11 O 0.415 0.141 0.295
12 O 0.585 0.859 0.705
13 O 0.859 0.585 0.705

Diffraction record for CsPrCoO3. The powder diffractogram is simulated, not measured: it uses a PBE+U-relaxed structure and Cu Kα (λ = 1.5418 Å).
Lines closer than 0.1° are merged.

Peak list (10 most intense, 2θ from 5° to 70°, low angle first)
2θ 13.3, rel. 38
2θ 22.9, rel. 100
2θ 26.8, rel. 91
2θ 31.5, rel. 72
2θ 31.7, rel. 30
2θ 33.1, rel. 69
2θ 37.6, rel. 39
2θ 46.2, rel. 42
2θ 46.8, rel. 32
2θ 64.0, rel. 29

Structural model:
Cell: 6.897 6.897 9.568 Å, 90.00 90.00 149.18°
Fractional positions:
1 Cs 0.232 0.768 0.750
2 Cs 0.768 0.232 0.250
3 Pr 0.500 0.500 0.000
4 Pr 0.500 0.500 0.500
5 Co 0.043 0.957 0.250
6 Co 0.957 0.043 0.750
7 O 0.106 0.894 0.069
8 O 0.106 0.894 0.431
9 O 0.464 0.536 0.250
10 O 0.536 0.464 0.750
11 O 0.894 0.106 0.569
12 O 0.894 0.106 0.931